This entry pairs a crystal structure of Ag3Pd with its computed XRD peak list. Radiation: copper Kα. Structure: the GGA-PBE geometry in OQMD.

The 10 most intense peaks (2θ = 10–90°), low angle first:
2θ (°)  I (rel.)
35.93  22
36.33  13
38.07  40
40.84  100
41.20  46
53.34  14
65.10  15
70.66  18
77.97  18
79.29  12

Atomic structure:
abc: 4.7280 5.7937 4.9460
angles: 90.00 90.00 90.00
Positions (direct):
1 Ag 0.2500 0.0003 0.1709
2 Ag 0.2500 0.2500 0.6658
3 Ag 0.2500 0.4997 0.1709
4 Ag 0.7500 0.9997 0.8291
5 Ag 0.7500 0.5003 0.8291
6 Ag 0.7500 0.7500 0.3342
7 Pd 0.2500 0.7500 0.6714
8 Pd 0.7500 0.2500 0.3286

***

This entry pairs a crystal structure of AgPd3S5 with its computed XRD peak list. Radiation: copper Kα. Structure: the GGA-PBE geometry in OQMD.

The 10 most intense peaks (2θ = 10–90°), low angle first:
2θ (°)  I (rel.)
16.68  49
23.19  78
27.89  24
32.31  87
32.67  43
36.57  48
46.61  25
47.40  100
57.63  34
77.75  24

Atomic structure:
abc: 6.3982 6.3982 5.3162
angles: 90.00 90.00 120.00
Positions (direct):
1 Ag 0.0000 0.0000 0.0000
2 Pd 0.0000 0.5000 0.5000
3 Pd 0.5000 0.0000 0.5000
4 Pd 0.5000 0.5000 0.5000
5 S 0.0000 0.0000 0.5000
6 S 0.3333 0.6667 0.2307
7 S 0.3333 0.6667 0.7693
8 S 0.6667 0.3333 0.2307
9 S 0.6667 0.3333 0.7693

***

This entry pairs a crystal structure of AgSbPdSe3 with its computed XRD peak list. Radiation: copper Kα. Structure: the GGA-PBE geometry in OQMD.

The 10 most intense peaks (2θ = 10–90°), low angle first:
2θ (°)  I (rel.)
25.79  55
27.39  100
27.95  31
28.15  33
31.00  32
32.82  21
40.46  20
43.28  34
45.56  70
51.02  29

Atomic structure:
abc: 5.1936 8.3611 13.8788
angles: 90.00 90.00 90.00
Positions (direct):
1 Ag 0.0413 0.0987 0.4493
2 Ag 0.4587 0.9013 0.9493
3 Ag 0.5413 0.4013 0.5507
4 Ag 0.9587 0.5987 0.0507
5 Sb 0.0445 0.1372 0.1393
6 Sb 0.4555 0.8628 0.6393
7 Sb 0.5445 0.3628 0.8607
8 Sb 0.9555 0.6372 0.3607
9 Pd 0.0306 0.6416 0.7442
10 Pd 0.4694 0.3584 0.2442
11 Pd 0.5306 0.8584 0.2558
12 Pd 0.9694 0.1416 0.7558
13 Se 0.1886 0.1562 0.9161
14 Se 0.2263 0.3810 0.7055
15 Se 0.2468 0.3774 0.4005
16 Se 0.2532 0.6226 0.9005
17 Se 0.2737 0.6190 0.2055
18 Se 0.3114 0.8438 0.4161
19 Se 0.6886 0.3438 0.0839
20 Se 0.7263 0.1190 0.2945
21 Se 0.7468 0.1226 0.5995
22 Se 0.7532 0.8774 0.0995
23 Se 0.7737 0.8810 0.7945
24 Se 0.8114 0.6562 0.5839

***

This entry pairs a crystal structure of TcAgPdSe3 with its computed XRD peak list. Radiation: copper Kα. Structure: the GGA-PBE geometry in OQMD.

The 10 most intense peaks (2θ = 10–90°), low angle first:
2θ (°)  I (rel.)
32.92  22
34.18  100
36.42  65
37.76  66
43.15  38
44.64  53
53.32  23
57.70  28
66.29  22
72.00  25

Atomic structure:
abc: 6.8992 6.8992 9.8684
angles: 90.00 90.00 151.16
Positions (direct):
1 Tc 0.0000 0.0000 0.0000
2 Tc 0.0000 0.0000 0.5000
3 Ag 0.2417 0.7583 0.7500
4 Ag 0.7583 0.2417 0.2500
5 Pd 0.4338 0.5662 0.2500
6 Pd 0.5662 0.4338 0.7500
7 Se 0.0811 0.9189 0.2500
8 Se 0.3597 0.6403 0.0222
9 Se 0.3597 0.6403 0.4778
10 Se 0.6403 0.3597 0.5222
11 Se 0.6403 0.3597 0.9778
12 Se 0.9189 0.0811 0.7500

***

This entry pairs a crystal structure of Si5AgPd3 with its computed XRD peak list. Radiation: copper Kα. Structure: the GGA-PBE geometry in OQMD.

The 10 most intense peaks (2θ = 10–90°), low angle first:
2θ (°)  I (rel.)
14.45  60
23.99  79
29.15  43
36.47  53
38.63  67
41.45  45
48.67  24
49.12  100
69.91  22
74.06  24

Atomic structure:
abc: 5.3821 5.3821 6.1280
angles: 90.00 90.00 120.00
Positions (direct):
1 Si 0.0000 0.0000 0.0000
2 Si 0.3333 0.6667 0.3140
3 Si 0.3333 0.6667 0.6860
4 Si 0.6667 0.3333 0.3140
5 Si 0.6667 0.3333 0.6860
6 Ag 0.0000 0.0000 0.5000
7 Pd 0.0000 0.5000 0.0000
8 Pd 0.5000 0.0000 0.0000
9 Pd 0.5000 0.5000 0.0000

***

This entry pairs a crystal structure of Sm2AgPd with its computed XRD peak list. Radiation: copper Kα. Structure: the GGA-PBE geometry in OQMD.

The 10 most intense peaks (2θ = 10–90°), low angle first:
2θ (°)  I (rel.)
31.08  100
32.87  28
33.97  24
37.98  34
38.09  23
39.07  63
47.35  18
51.89  20
62.28  26
72.18  17

Atomic structure:
abc: 4.7383 5.7783 5.7783
angles: 38.81 90.00 90.00
Positions (direct):
1 Sm 0.0000 0.0000 0.0000
2 Sm 0.5000 0.2791 0.2791
3 Ag 0.5000 0.5591 0.5591
4 Pd 0.0000 0.7233 0.7233